No. 1
This entry pairs a crystal structure of La2YHgRu with its computed XRD peak list. Radiation: CuKα. Structure: the GGA-PBE geometry in Alexandria.
Intensities are scaled so that the largest is 100.

Cell and atoms:
Unit cell a=5.427 b=5.427 c=5.444 alpha=90.00 beta=90.00 gamma=90.00
Element x y z (fractional)
1 La 0.000 0.500 0.000
2 La 0.500 0.000 0.000
3 Y 0.000 0.000 0.500
4 Hg 0.500 0.500 0.500
5 Ru 0.000 0.000 0.000

The 12 most intense peaks (10 to 90 degrees two-theta), in order of rising 2θ:
d [Å], I/Imax
3.843, 40.6
3.137, 100.0
2.722, 36.0
2.713, 71.4
2.217, 19.3
1.921, 78.1
1.640, 15.1
1.637, 30.0
1.568, 27.0
1.247, 12.2
1.214, 23.1
1.108, 18.1

=====

No. 2
This entry pairs a crystal structure of ZrSc4Pb with its computed XRD peak list. Radiation: CuKα. Structure: the GGA-PBE geometry in Alexandria.
Intensities are scaled so that the largest is 100.

Cell and atoms:
Unit cell a=7.380 b=7.380 c=10.552 alpha=116.37 beta=116.37 gamma=34.36
Element x y z (fractional)
1 Zr 0.213 0.213 0.384
2 Zr 0.787 0.787 0.616
3 Sc 0.140 0.140 0.634
4 Sc 0.288 0.288 0.121
5 Sc 0.383 0.383 0.879
6 Sc 0.456 0.456 0.620
7 Sc 0.544 0.544 0.380
8 Sc 0.617 0.617 0.121
9 Sc 0.712 0.712 0.879
10 Sc 0.860 0.860 0.366
11 Pb 0.046 0.046 0.863
12 Pb 0.954 0.954 0.137

The 12 most intense peaks (10 to 90 degrees two-theta), in order of rising 2θ:
d [Å], I/Imax
5.025, 20.4
4.341, 24.7
4.116, 32.5
2.656, 96.9
2.619, 100.0
2.350, 33.1
2.336, 32.9
2.180, 34.7
1.675, 12.8
1.598, 20.9
1.594, 19.3
1.328, 19.9

=====

No. 3
This entry pairs a crystal structure of ErGa12Cu4 with its computed XRD peak list. Radiation: CuKα. Structure: the GGA-PBE geometry in Alexandria.
Intensities are scaled so that the largest is 100.

Cell and atoms:
Unit cell a=7.444 b=7.444 c=7.444 alpha=109.47 beta=109.47 gamma=109.47
Element x y z (fractional)
1 Er 0.000 0.000 0.000
2 Ga 0.157 0.502 0.345
3 Ga 0.157 0.812 0.655
4 Ga 0.188 0.345 0.843
5 Ga 0.345 0.157 0.502
6 Ga 0.345 0.843 0.188
7 Ga 0.498 0.655 0.843
8 Ga 0.502 0.345 0.157
9 Ga 0.655 0.157 0.812
10 Ga 0.655 0.843 0.498
11 Ga 0.812 0.655 0.157
12 Ga 0.843 0.188 0.345
13 Ga 0.843 0.498 0.655
14 Cu 0.000 0.000 0.500
15 Cu 0.000 0.500 0.000
16 Cu 0.500 0.000 0.000
17 Cu 0.500 0.500 0.500

The 12 most intense peaks (10 to 90 degrees two-theta), in order of rising 2θ:
d [Å], I/Imax
3.039, 14.9
2.718, 100.0
2.297, 53.7
1.922, 14.1
1.755, 35.3
1.686, 34.2
1.474, 8.3
1.433, 7.7
1.359, 8.7
1.267, 15.9
1.129, 8.9
1.092, 8.6

=====

Repeat the first record exactly.
This entry pairs a crystal structure of La2YHgRu with its computed XRD peak list. Radiation: CuKα. Structure: the GGA-PBE geometry in Alexandria.
Intensities are scaled so that the largest is 100.

Cell and atoms:
Unit cell a=5.427 b=5.427 c=5.444 alpha=90.00 beta=90.00 gamma=90.00
Element x y z (fractional)
1 La 0.000 0.500 0.000
2 La 0.500 0.000 0.000
3 Y 0.000 0.000 0.500
4 Hg 0.500 0.500 0.500
5 Ru 0.000 0.000 0.000

The 12 most intense peaks (10 to 90 degrees two-theta), in order of rising 2θ:
d [Å], I/Imax
3.843, 40.6
3.137, 100.0
2.722, 36.0
2.713, 71.4
2.217, 19.3
1.921, 78.1
1.640, 15.1
1.637, 30.0
1.568, 27.0
1.247, 12.2
1.214, 23.1
1.108, 18.1

=====

What did the third record say?
This entry pairs a crystal structure of ErGa12Cu4 with its computed XRD peak list. Radiation: CuKα. Structure: the GGA-PBE geometry in Alexandria.
Intensities are scaled so that the largest is 100.

Cell and atoms:
Unit cell a=7.444 b=7.444 c=7.444 alpha=109.47 beta=109.47 gamma=109.47
Element x y z (fractional)
1 Er 0.000 0.000 0.000
2 Ga 0.157 0.502 0.345
3 Ga 0.157 0.812 0.655
4 Ga 0.188 0.345 0.843
5 Ga 0.345 0.157 0.502
6 Ga 0.345 0.843 0.188
7 Ga 0.498 0.655 0.843
8 Ga 0.502 0.345 0.157
9 Ga 0.655 0.157 0.812
10 Ga 0.655 0.843 0.498
11 Ga 0.812 0.655 0.157
12 Ga 0.843 0.188 0.345
13 Ga 0.843 0.498 0.655
14 Cu 0.000 0.000 0.500
15 Cu 0.000 0.500 0.000
16 Cu 0.500 0.000 0.000
17 Cu 0.500 0.500 0.500

The 12 most intense peaks (10 to 90 degrees two-theta), in order of rising 2θ:
d [Å], I/Imax
3.039, 14.9
2.718, 100.0
2.297, 53.7
1.922, 14.1
1.755, 35.3
1.686, 34.2
1.474, 8.3
1.433, 7.7
1.359, 8.7
1.267, 15.9
1.129, 8.9
1.092, 8.6

=====

- Number 1 is which compound?
  La2YHgRu